# 1
# TbHo2Ga6
Computed XRD peak list, copper Kα. Input: DFT lattice parameters and positions (PBE).
Intensities are scaled so that the largest is 100.

Top 8 peaks for 10° ≤ 2θ ≤ 90°, by angle:
(1 1 0), 2θ 23.85, 3.731 Å, I 16; (1 1 1), 2θ 33.56, 2.670 Å, I 100; (3 0 0), 2θ 41.94, 2.154 Å, I 47; (0 0 2), 2θ 47.57, 1.912 Å, I 11; (2 2 1), 2θ 54.75, 1.677 Å, I 25; (3 0 2), 2θ 65.25, 1.430 Å, I 25; (4 1 1), 2θ 71.28, 1.323 Å, I 22; (1 1 3), 2θ 79.47, 1.206 Å, I 8

Cell and atoms:
```
data_TbHo2Ga6
_chemical_formula_sum 'Tb1 Ho2 Ga6'
_cell_length_a 7.4619
_cell_length_b 7.4619
_cell_length_c 3.8234
_cell_angle_alpha 90.00
_cell_angle_beta 90.00
_cell_angle_gamma 120.00
_symmetry_space_group_name_H-M 'P 6/m m m'
_symmetry_Int_Tables_number 191
_symmetry_space_group_name_Hall '-P 6 2'
loop_
_atom_site_label
_atom_site_type_symbol
_atom_site_fract_x
_atom_site_fract_y
_atom_site_fract_z
_atom_site_occupancy
Tb1 Tb 0.0000 0.0000 0.0000 1
Ho1 Ho 0.3333 0.6667 0.0000 1
Ga1 Ga 0.0000 0.3338 0.5000 1
```

***

# 2
# Rb3Na9Tl2
Computed XRD peak list, copper Kα. Input: DFT lattice parameters and positions (PBE).
Intensities are scaled so that the largest is 100.

Top 8 peaks for 10° ≤ 2θ ≤ 90°, by angle:
(0 0 2), 2θ 11.00, 8.042 Å, I 64; (1 0 1), 2θ 16.61, 5.338 Å, I 44; (1 1 0), 2θ 16.99, 5.219 Å, I 35; (1 2 1), 2θ 21.22, 4.187 Å, I 36; (0 3 3), 2θ 25.84, 3.447 Å, I 61; (1 2 3), 2θ 26.43, 3.372 Å, I 100; (1 3 2), 2θ 27.65, 3.227 Å, I 48; (2 3 3), 2θ 41.28, 2.187 Å, I 35

Cell and atoms:
```
data_Rb3Na9Tl2
_chemical_formula_sum 'Rb6 Na18 Tl4'
_cell_length_a 5.6590
_cell_length_b 13.5020
_cell_length_c 16.0849
_cell_angle_alpha 90.00
_cell_angle_beta 90.00
_cell_angle_gamma 90.00
_symmetry_space_group_name_H-M 'I m m m'
_symmetry_Int_Tables_number 71
_symmetry_space_group_name_Hall '-I 2 2'
loop_
_atom_site_label
_atom_site_type_symbol
_atom_site_fract_x
_atom_site_fract_y
_atom_site_fract_z
_atom_site_occupancy
Rb1 Rb 0.0000 0.0000 0.0000 1
Rb2 Rb 0.0000 0.0000 0.3151 1
Na1 Na 0.0000 0.2813 0.1120 1
Na2 Na 0.0000 0.3518 0.3387 1
Na3 Na 0.0000 0.5000 0.0000 1
Tl1 Tl 0.0000 0.1909 0.5000 1
```

***

# 3
# OsW
Computed XRD peak list, copper Kα. Input: DFT lattice parameters and positions (PBE).
Intensities are scaled so that the largest is 100.

Top 8 peaks for 10° ≤ 2θ ≤ 90°, by angle:
(1 1 1), 2θ 39.27, 2.294 Å, I 100; (0 4 1), 2θ 41.16, 2.193 Å, I 95; (0 0 2), 2θ 41.45, 2.179 Å, I 52; (1 3 0), 2θ 41.88, 2.157 Å, I 40; (1 3 1), 2θ 47.01, 1.933 Å, I 29; (1 3 2), 2θ 60.39, 1.533 Å, I 27; (0 4 3), 2θ 75.40, 1.261 Å, I 16; (2 4 1), 2θ 81.60, 1.180 Å, I 27

Cell and atoms:
```
data_OsW
_chemical_formula_sum 'Os4 W4'
_cell_length_a 2.7991
_cell_length_b 10.1521
_cell_length_c 4.3573
_cell_angle_alpha 90.00
_cell_angle_beta 90.00
_cell_angle_gamma 90.00
_symmetry_space_group_name_H-M 'C m c m'
_symmetry_Int_Tables_number 63
_symmetry_space_group_name_Hall '-C 2c 2'
loop_
_atom_site_label
_atom_site_type_symbol
_atom_site_fract_x
_atom_site_fract_y
_atom_site_fract_z
_atom_site_occupancy
Os1 Os 0.0000 0.0688 0.2500 1
W1 W 0.0000 0.3292 0.2500 1
```